This entry pairs a crystal structure of LiTiPO5 with its theoretical PXRD pattern. Radiation: Cu Ka. Structure: a DFT-relaxed cell (GGA-PBE, Alexandria).
Kinematic intensities with the Lorentz-polarization factor, no thermal factor.

The 8 most intense peaks (10 to 80 degrees two-theta), in order of rising 2θ:
4.850 Å, rel. 75, hkl 1 0 1
4.820 Å, rel. 40, hkl 1 -1 1
3.970 Å, rel. 26, hkl 0 0 2
3.410 Å, rel. 44, hkl 0 1 -2
3.309 Å, rel. 67, hkl 1 -2 1
3.296 Å, rel. 93, hkl -1 2 1
3.123 Å, rel. 100, hkl 2 0 0
2.461 Å, rel. 38, hkl 1 0 -3

a = 7.0310 Å, b = 7.2795 Å, c = 7.9437 Å
α = 90.40°, β = 91.21°, γ = 117.30°
Space group P-1 (No. 2)
Unique sites:
Li 0.1938 0.1853 0.0664 x2
Li 0.2961 0.7113 0.4325 x2
Ti 0.2512 0.9798 0.7362 x2
Ti 0.2537 0.4821 0.7619 x2
P 0.2328 0.7582 0.0948 x2
P 0.2681 0.2509 0.4048 x2
O 0.0544 0.0984 0.3163 x2
O 0.0731 0.6506 0.2368 x2
O 0.1572 0.8889 0.9820 x2
O 0.2359 0.7452 0.6682 x2
O 0.2448 0.4204 0.5093 x2
O 0.2610 0.5952 0.9875 x2
O 0.2619 0.2583 0.8293 x2
O 0.3524 0.1316 0.5206 x2
O 0.4217 0.3478 0.2574 x2
O 0.4442 0.9005 0.1891 x2


This entry pairs a crystal structure of NdDyGaNi with its theoretical PXRD pattern. Radiation: Cu Ka. Structure: a DFT-relaxed cell (GGA-PBE, Alexandria).
Kinematic intensities with the Lorentz-polarization factor, no thermal factor.

The 8 most intense peaks (10 to 80 degrees two-theta), in order of rising 2θ:
3.412 Å, rel. 37, hkl 1 0 2
2.793 Å, rel. 24, hkl 0 0 4
2.772 Å, rel. 100, hkl 1 1 1
2.669 Å, rel. 53, hkl 0 1 3
2.344 Å, rel. 26, hkl 1 0 4
2.269 Å, rel. 45, hkl 1 1 3
2.155 Å, rel. 28, hkl 2 0 0
1.676 Å, rel. 26, hkl 2 1 3

a = 4.3094 Å, b = 3.8269 Å, c = 11.1711 Å
α = 90.00°, β = 90.00°, γ = 90.00°
Space group Amm2 (No. 38)
Unique sites:
Nd 0.0000 0.0000 0.0000 x2
Dy 0.5000 0.0000 0.7134 x2
Ga 0.5000 0.0000 0.4167 x2
Ni 0.0000 0.0000 0.2830 x2


This entry pairs a crystal structure of Cs5Nd2I12 with its theoretical PXRD pattern. Radiation: Cu Ka. Structure: a DFT-relaxed cell (GGA-PBE, Alexandria).
Kinematic intensities with the Lorentz-polarization factor, no thermal factor.

The 8 most intense peaks (10 to 80 degrees two-theta), in order of rising 2θ:
3.631 Å, rel. 60, hkl 0 2 2
3.377 Å, rel. 100, hkl 4 0 -4
3.172 Å, rel. 68, hkl 3 3 -2
3.144 Å, rel. 42, hkl 3 1 -4
2.871 Å, rel. 30, hkl 3 3 0
2.657 Å, rel. 52, hkl 6 2 -4
1.995 Å, rel. 27, hkl 4 2 -6
1.341 Å, rel. 25, hkl 0 8 2

a = 19.0966 Å, b = 11.1806 Å, c = 13.4993 Å
α = 90.00°, β = 134.94°, γ = 90.00°
Space group C2/m (No. 12)
Unique sites:
Cs 0.0000 0.0000 0.0000 x2
Cs 0.2460 0.5000 0.0001 x4
Cs 0.2485 0.5000 0.4971 x4
Nd 0.0000 0.2501 0.5000 x4
I 0.0009 0.1852 0.7345 x8
I 0.0007 0.5000 0.3624 x4
I 0.1379 0.0000 0.6372 x4
I 0.2334 0.3149 0.7343 x8